Structure and simulated powder X-ray diffraction pattern of K2CeAg3Te4 (a DFT-relaxed cell (GGA-PBE, the Materials Project); Cu Kα X-rays).
Lines closer than 0.1° are merged.

Cell and atoms:
```
data_K2CeAg3Te4
_chemical_formula_sum 'K8 Ce4 Ag12 Te16'
_cell_length_a 17.3434
_cell_length_b 4.6795
_cell_length_c 15.5146
_cell_angle_alpha 90.00
_cell_angle_beta 90.00
_cell_angle_gamma 90.00
_space_group_name_H-M_alt 'P n m a'
_space_group_IT_number 62
_space_group_name_Hall '-P 2ac 2n'
loop_
_atom_site_label
_atom_site_type_symbol
_atom_site_fract_x
_atom_site_fract_y
_atom_site_fract_z
K1 K 0.0816 0.2500 0.1008
K2 K 0.1159 0.2500 0.3443
Ce1 Ce 0.1427 0.7500 0.7283
Ag1 Ag 0.0320 0.2500 0.5698
Ag2 Ag 0.2226 0.2500 0.9020
Ag3 Ag 0.2270 0.2500 0.5474
Te1 Te 0.0179 0.2500 0.7498
Te2 Te 0.1240 0.7500 0.5160
Te3 Te 0.1383 0.7500 0.9390
Te4 Te 0.2273 0.7500 0.2231
```

Most intense lines, 2θ = 10–90°, by intensity:
Position (°2θ)  I/Imax
28.65  100
38.46  54
40.62  47
11.69  42
36.54  33
30.37  26
31.69  26
30.60  22